1.
NpTl4O5: calculated X-ray powder pattern (a wavelength of 1.5418 Å), based on the GGA-PBE geometry in Alexandria.
Peak positions follow from Bragg's law for the DFT cell and can differ from measured ones.

The 6 most intense peaks (2θ = 10–90°), in order of falling intensity:
2θ/deg  I/Imax
29.04  100
29.28  51
51.78  44
51.32  22
41.89  21
60.19  15

Cell and atoms:
```
10
Lattice="-4.822 4.822 2.193 4.822 -4.822 2.193 4.822 4.822 -2.193" Properties=species:S:1:pos:R:3 pbc="T T T"
Np 0.000 0.000 0.000
Tl 5.715 1.921 0.000
Tl 1.921 3.929 0.000
Tl 2.901 0.893 2.193
Tl -0.893 2.901 2.193
O 1.510 1.380 0.000
O 3.442 -3.312 2.193
O 0.000 0.000 2.193
O 1.380 8.134 0.000
O 3.312 3.442 2.193
```



2.
NaSr4Sb3O12: calculated X-ray powder pattern (a wavelength of 1.5418 Å), based on the GGA-PBE geometry in Alexandria.
Peak positions follow from Bragg's law for the DFT cell and can differ from measured ones.

The 6 most intense peaks (2θ = 10–90°), in order of falling intensity:
2θ/deg  I/Imax
30.78  100
54.88  34
44.01  29
30.91  24
30.55  24
15.26  17

Cell and atoms:
```
40
Lattice="8.230 0.000 0.000 0.000 8.205 0.000 -8.137 0.000 8.231" Properties=species:S:1:pos:R:3 pbc="T T T"
Na 0.000 0.000 0.000
Na -4.068 4.102 4.115
Sr -1.882 2.010 2.168
Sr -5.950 2.092 6.283
Sr -2.121 6.118 5.949
Sr 1.947 6.188 1.833
Sr -1.854 2.016 6.397
Sr 2.214 2.086 2.282
Sr 6.043 6.113 1.948
Sr 1.975 6.194 6.063
Sb -4.068 0.000 4.115
Sb 0.000 4.102 0.000
Sb 4.115 0.000 0.000
Sb 0.047 0.000 4.115
Sb 4.115 4.102 0.000
Sb 0.047 4.102 4.115
O -0.201 5.973 0.359
O -4.269 6.334 4.474
O -6.081 4.418 7.906
O -2.013 7.889 3.790
O -1.822 4.423 3.828
O -5.891 7.884 7.943
O -3.738 0.338 6.167
O 0.331 3.764 2.052
O 0.314 0.297 2.241
O -3.755 3.806 6.356
O 3.718 2.049 0.242
O -0.350 2.054 4.357
O 0.443 6.151 3.874
O -3.625 6.156 7.989
O 3.848 4.399 1.874
O -0.221 7.908 5.990
O -0.238 4.441 6.179
O 3.831 7.866 2.063
O 5.984 0.321 0.288
O 1.915 3.782 4.403
O 2.106 0.316 4.440
O 6.174 3.787 0.325
O 4.362 1.871 3.756
O 0.294 2.231 7.872
```



3.
CaPrAu4: calculated X-ray powder pattern (a wavelength of 1.5418 Å), based on the GGA-PBE geometry in Alexandria.
Peak positions follow from Bragg's law for the DFT cell and can differ from measured ones.

The 6 most intense peaks (2θ = 10–90°), in order of falling intensity:
2θ/deg  I/Imax
24.83  100
33.26  95
37.15  93
33.13  91
37.49  91
38.38  86

Cell and atoms:
```
6
Lattice="4.841 0.000 0.000 0.000 3.586 0.000 -0.216 0.000 8.162" Properties=species:S:1:pos:R:3 pbc="T T T"
Ca 0.000 0.000 0.000
Pr 2.313 0.000 4.081
Au -0.057 1.793 2.693
Au 2.365 1.793 1.371
Au 2.261 1.793 6.791
Au 4.683 1.793 5.469
```



4.
HfBe2Ga2: calculated X-ray powder pattern (a wavelength of 1.5418 Å), based on the GGA-PBE geometry in Alexandria.
Peak positions follow from Bragg's law for the DFT cell and can differ from measured ones.

The 6 most intense peaks (2θ = 10–90°), in order of falling intensity:
2θ/deg  I/Imax
36.07  100
33.98  79
17.69  60
38.56  46
51.74  44
62.18  41

Cell and atoms:
```
5
Lattice="-1.865 1.865 5.015 1.865 -1.865 5.015 1.865 1.865 -5.015" Properties=species:S:1:pos:R:3 pbc="T T T"
Hf 0.000 0.000 0.000
Be 1.865 0.000 2.508
Be 0.000 1.865 2.508
Ga 0.000 0.000 3.823
Ga 0.000 0.000 6.207
```